Simulated XRD peak list of Pr2TiCuS5 for λ = 1.5418 Å (Cu Kα), from a PBE-relaxed structure.
Peak positions follow from Bragg's law for the DFT cell and can differ from measured ones.

Top 10 peaks for 10 to 90 degrees two-theta, low angle first:
Position (°2θ), I_rel, index
21.38, 51, 0 4 0
25.83, 72, 0 2 3
28.21, 29, 1 3 0
28.49, 44, 1 1 2
32.39, 28, 1 3 2
33.28, 39, 0 6 1
33.60, 100, 1 1 3
39.13, 58, 1 5 2
43.14, 28, 1 5 3
47.18, 33, 2 0 0

Structural model:
Unit cell a=3.8529 b=16.6271 c=11.3716 alpha=90.00 beta=90.00 gamma=90.00
Space group Cmc2_1 (No. 36)
Inequivalent atoms, fractional coordinates:
1 Pr 0.0000 0.1167 0.0000 x4
2 Pr 0.0000 0.1270 0.6154 x4
3 Ti 0.0000 0.1911 0.3170 x4
4 Cu 0.0000 0.4322 0.7520 x4
5 S 0.0000 0.0524 0.3574 x4
6 S 0.0000 0.2905 0.9656 x4
7 S 0.0000 0.3042 0.6695 x4
8 S 0.0000 0.3479 0.3109 x4
9 S 0.0000 0.4987 0.0798 x4

Simulated XRD peak list of Pr2CuSb4 for λ = 1.5418 Å (Cu Kα), from a PBE-relaxed structure.
Peak positions follow from Bragg's law for the DFT cell and can differ from measured ones.

Top 10 peaks for 10 to 90 degrees two-theta, low angle first:
Position (°2θ), I_rel, index
27.19, 20, 1 0 2
27.44, 22, 0 0 3
29.95, 45, 1 1 1
34.01, 100, 1 1 2
34.21, 43, 1 0 3
40.71, 54, 2 0 0
51.18, 19, 1 0 5
54.20, 23, 2 1 3
58.94, 18, 2 2 0
69.82, 24, 3 1 2

Structural model:
Unit cell a=4.4323 b=4.4323 c=9.7505 alpha=90.00 beta=90.00 gamma=90.00
Space group P-4m2 (No. 115)
Inequivalent atoms, fractional coordinates:
1 Pr 0.0000 0.5000 0.2375 x2
2 Cu 0.5000 0.5000 0.0000 x1
3 Sb 0.0000 0.0000 0.5000 x1
4 Sb 0.0000 0.5000 0.8638 x2
5 Sb 0.5000 0.5000 0.5000 x1

Simulated XRD peak list of PrScCu10 for λ = 1.5418 Å (Cu Kα), from a PBE-relaxed structure.
Peak positions follow from Bragg's law for the DFT cell and can differ from measured ones.

Top 10 peaks for 10 to 90 degrees two-theta, low angle first:
Position (°2θ), I_rel, index
29.91, 25, 1 1 1
35.84, 23, 0 2 0
41.63, 31, 0 0 4
42.22, 100, 1 2 0
43.98, 32, 2 0 0
47.36, 26, 1 2 2
62.15, 18, 2 0 4
68.79, 20, 1 3 3
75.97, 16, 0 4 0
79.64, 14, 3 2 0

Structural model:
Unit cell a=4.1180 b=5.0132 c=8.6736 alpha=90.00 beta=90.00 gamma=90.00
Space group Pmmm (No. 47)
Inequivalent atoms, fractional coordinates:
1 Pr 0.0000 0.0000 0.0000 x1
2 Sc 0.0000 0.5000 0.5000 x1
3 Cu 0.0000 0.0000 0.3435 x2
4 Cu 0.0000 0.5000 0.1803 x2
5 Cu 0.5000 0.0000 0.5000 x1
6 Cu 0.5000 0.2541 0.2580 x4
7 Cu 0.5000 0.5000 0.0000 x1